Starting from the PBE geometry in Alexandria, the powder diffractogram of AcTbPm2Nd5 was computed for Cu Ka.
No peak broadening, texture or thermal motion is included.

Principal peaks in the range 2θ = 10–80°, most intense first:
d (Å)  Rel. int.
2.983  100
3.200  49
3.214  45
2.175  23
1.803  23
2.862  18
2.480  16
1.686  14

Crystal structure
```
data_AcTbPm2Nd5
_cell_length_a 10.193
_cell_length_b 10.193
_cell_length_c 10.193
_cell_angle_alpha 127.28
_cell_angle_beta 127.28
_cell_angle_gamma 77.79
_space_group_name_H-M_alt 'P 1'
_space_group_IT_number 1
_space_group_name_Hall 'P 1'
loop_
_atom_site_label
_atom_site_type_symbol
_atom_site_fract_x
_atom_site_fract_y
_atom_site_fract_z
_atom_site_occupancy
Ac1 Ac 0.250 0.250 0.000 1
Ac2 Ac 0.750 0.750 0.000 1
Tb1 Tb 0.250 0.750 0.500 1
Tb2 Tb 0.750 0.250 0.500 1
Pm1 Pm 0.116 0.616 0.732 1
Pm2 Pm 0.384 0.116 0.500 1
Pm3 Pm 0.616 0.884 0.500 1
Pm4 Pm 0.884 0.384 0.268 1
Nd1 Nd 0.000 0.000 0.000 1
Nd2 Nd 0.071 0.163 0.500 1
Nd3 Nd 0.163 0.663 0.092 1
Nd4 Nd 0.337 0.429 0.500 1
Nd5 Nd 0.429 0.929 0.092 1
Nd6 Nd 0.500 0.500 0.000 1
Nd7 Nd 0.571 0.071 0.908 1
Nd8 Nd 0.663 0.571 0.500 1
Nd9 Nd 0.837 0.337 0.908 1
Nd10 Nd 0.929 0.837 0.500 1
```